Entry 1:
Diffraction record for Tb2PrCo. The PXRD pattern is simulated, not measured: it uses a PBE-relaxed structure and λ = 1.5418 Å (Cu Kα).

Lattice parameters (Å, degrees): 3.6862 12.2362 9.5970 90.00 90.00 90.00
Space group Cmcm (No. 63)
Symmetry-distinct sites (fractional):
Tb (0.0000, 0.1416, 0.0736) [8 per cell]
Pr (0.0000, 0.4162, 0.2500) [4 per cell]
Co (0.0000, 0.2586, 0.7500) [4 per cell]

The 10 most intense peaks (5 to 70 degrees two-theta), low angle first:
h k l, two_theta, intensity
1 1 1, 26.92, 14
0 4 0, 29.19, 18
0 2 3, 31.52, 100
1 3 0, 32.75, 22
1 3 1, 34.09, 39
1 1 3, 37.92, 35
0 6 2, 48.51, 15
1 5 3, 53.28, 21
1 7 0, 58.44, 18
2 2 3, 59.86, 19

=====

Entry 2:
Diffraction record for Er5Bi4Se. The PXRD pattern is simulated, not measured: it uses a PBE-relaxed structure and λ = 1.5418 Å (Cu Kα).

Lattice parameters (Å, degrees): 4.3819 4.3819 30.8446 90.00 90.00 90.00
Space group I4/mmm (No. 139)
Symmetry-distinct sites (fractional):
Er (0.0000, 0.0000, 0.0000) [2 per cell]
Er (0.0000, 0.0000, 0.2013) [4 per cell]
Er (0.0000, 0.0000, 0.4066) [4 per cell]
Bi (0.0000, 0.0000, 0.0992) [4 per cell]
Bi (0.0000, 0.0000, 0.3031) [4 per cell]
Se (0.0000, 0.0000, 0.5000) [2 per cell]

The 10 most intense peaks (5 to 70 degrees two-theta), low angle first:
h k l, two_theta, intensity
0 0 2, 5.73, 4
1 1 0, 28.81, 90
0 0 10, 28.95, 42
2 0 0, 41.27, 100
2 0 10, 51.14, 36
2 2 0, 59.68, 12
0 0 20, 59.98, 5
3 1 0, 67.61, 16
2 2 10, 67.68, 16
1 1 20, 67.89, 14

=====

Entry 3:
Diffraction record for PuTh5C5. The PXRD pattern is simulated, not measured: it uses a PBE-relaxed structure and λ = 1.5418 Å (Cu Kα).

Lattice parameters (Å, degrees): 11.7764 5.3020 7.4169 90.00 108.95 90.00
Space group C2/m (No. 12)
Symmetry-distinct sites (fractional):
Pu (0.0000, 0.0000, 0.0000) [2 per cell]
Th (0.0000, 0.0000, 0.5000) [2 per cell]
Th (0.1676, 0.5000, 0.3269) [4 per cell]
Th (0.1692, 0.5000, 0.8398) [4 per cell]
C (0.0000, 0.5000, 0.0000) [2 per cell]
C (0.1546, 0.0000, 0.3163) [4 per cell]
C (0.1727, 0.0000, 0.8330) [4 per cell]

The 10 most intense peaks (5 to 70 degrees two-theta), low angle first:
h k l, two_theta, intensity
3 1 0, 29.38, 100
0 2 0, 33.81, 21
4 0 -2, 33.99, 20
2 0 2, 34.36, 20
4 2 -2, 48.70, 15
2 2 2, 48.97, 15
3 3 0, 57.78, 16
7 1 -2, 58.02, 16
5 1 2, 58.50, 15
6 2 0, 60.95, 15

=====

Entry 4:
Diffraction record for AcTmInAg. The PXRD pattern is simulated, not measured: it uses a PBE-relaxed structure and λ = 1.5418 Å (Cu Kα).

Lattice parameters (Å, degrees): 3.7586 3.7586 8.0287 90.00 90.00 90.00
Space group P4mm (No. 99)
Symmetry-distinct sites (fractional):
Ac (0.0000, 0.0000, 0.0000) [1 per cell]
Tm (0.0000, 0.0000, 0.4750) [1 per cell]
In (0.5000, 0.5000, 0.7095) [1 per cell]
Ag (0.5000, 0.5000, 0.2877) [1 per cell]

The 10 most intense peaks (5 to 70 degrees two-theta), low angle first:
h k l, two_theta, intensity
0 0 2, 22.14, 6
1 0 0, 23.67, 8
1 0 1, 26.18, 7
1 0 2, 32.64, 100
1 1 0, 33.72, 51
0 0 4, 45.17, 7
2 0 0, 48.44, 18
1 1 4, 57.54, 14
2 1 2, 59.63, 35
2 0 4, 68.38, 9

=====

Entry 5:
Diffraction record for Nd4Pd3. The PXRD pattern is simulated, not measured: it uses a PBE-relaxed structure and λ = 1.5418 Å (Cu Kα).

Lattice parameters (Å, degrees): 14.2573 4.7430 5.9843 90.00 106.60 90.00
Space group C2/m (No. 12)
Symmetry-distinct sites (fractional):
Nd (0.0891, 0.0000, 0.2865) [4 per cell]
Nd (0.1596, 0.5000, 0.7938) [4 per cell]
Pd (0.0000, 0.5000, 0.0000) [2 per cell]
Pd (0.2265, 0.5000, 0.3211) [4 per cell]

The 10 most intense peaks (5 to 70 degrees two-theta), low angle first:
h k l, two_theta, intensity
2 0 -1, 17.11, 18
1 1 1, 26.34, 69
3 1 0, 27.14, 18
3 1 -1, 28.39, 51
0 0 2, 31.19, 31
3 1 1, 34.14, 61
3 1 -2, 37.13, 56
2 0 2, 37.32, 33
0 2 0, 37.97, 100
1 1 2, 38.84, 19

=====

Entry 6:
Diffraction record for Ac5PmSn2. The PXRD pattern is simulated, not measured: it uses a PBE-relaxed structure and λ = 1.5418 Å (Cu Kα).

Lattice parameters (Å, degrees): 4.6081 13.0166 20.7468 90.00 90.00 90.00
Space group Cmcm (No. 63)
Symmetry-distinct sites (fractional):
Ac (0.0000, 0.0444, 0.1145) [8 per cell]
Ac (0.0000, 0.3557, 0.0262) [8 per cell]
Ac (0.0000, 0.4092, 0.7500) [4 per cell]
Pm (0.0000, 0.3083, 0.2500) [4 per cell]
Sn (0.0000, 0.2378, 0.6342) [8 per cell]

The 10 most intense peaks (5 to 70 degrees two-theta), low angle first:
h k l, two_theta, intensity
1 1 4, 26.77, 100
0 4 1, 27.75, 26
1 3 0, 28.25, 36
1 1 5, 29.78, 19
1 3 3, 31.13, 54
0 4 4, 32.48, 29
0 2 7, 33.21, 18
0 0 8, 34.59, 19
2 0 0, 39.10, 27
2 4 1, 48.62, 18